The following is a simulated powder XRD pattern of NpCr2RuO8. It was derived from a cell relaxed with PBE+U, using Cu Kα (weighted mean of Kα1 and Kα2).
Lines closer than 0.1° are merged.

Top 8 peaks for 2θ from 10° to 90°, in order of rising 2θ:
index, 2theta, intensity
1 1 0, 18.75, 68.6
1 1 1, 23.71, 27.5
0 2 0, 26.24, 67.7
2 0 0, 27.03, 63.9
1 1 2, 34.76, 100.0
2 2 0, 38.02, 27.9
1 3 2, 52.02, 44.7
3 1 2, 52.91, 41.7

Cell: 6.5980 6.7938 6.1564 Å, 90.00 90.00 90.00°
Space group Cmmm (No. 65)
Asymmetric unit:
Np (0.0000, 0.0000, 0.0000) [2 per cell]
Cr (0.0000, 0.5000, 0.2608) [4 per cell]
Ru (0.0000, 0.0000, 0.5000) [2 per cell]
O (0.0000, 0.2031, 0.2574) [8 per cell]
O (0.1904, 0.5000, 0.0000) [4 per cell]
O (0.2001, 0.5000, 0.5000) [4 per cell]